No. 1
For MnTl2Tc, a GGA-PBE-relaxed structure gives the simulated powder diffractogram in this record (a wavelength of 1.5418 Å).
Neutral-atom scattering factors, no anomalous dispersion.

Unit cell a=8.9989 b=8.9989 c=8.9989 alpha=21.28 beta=21.28 gamma=21.28
Sites, in units of the cell vectors:
Mn  0.0000  0.0000  0.0000
Tl  0.2451  0.2451  0.2451
Tl  0.4724  0.4724  0.4724
Tc  0.7127  0.7127  0.7127

Principal peaks in the range 2θ from 15° to 90°, in order of rising 2θ:
| two_theta | Rel. int. |
| --- | --- |
| 30.50 | 32 |
| 31.26 | 20 |
| 33.98 | 100 |
| 35.53 | 37 |
| 41.65 | 38 |
| 55.28 | 28 |
| 55.40 | 23 |
| 64.45 | 23 |
| 66.50 | 14 |
| 68.73 | 12 |
| 71.53 | 8 |
| 82.10 | 8 |

=====

No. 2
For Rb2Na6Hg9, a GGA-PBE-relaxed structure gives the simulated powder diffractogram in this record (a wavelength of 1.5418 Å).
Neutral-atom scattering factors, no anomalous dispersion.

Unit cell a=6.5236 b=6.5236 c=15.6787 alpha=90.00 beta=90.00 gamma=120.00
Sites, in units of the cell vectors:
Rb  0.0000  0.0000  0.1813
Rb  0.0000  0.0000  0.8187
Na  0.3333  0.6667  0.1648
Na  0.3333  0.6667  0.5000
Na  0.3333  0.6667  0.8352
Na  0.6667  0.3333  0.1648
Na  0.6667  0.3333  0.5000
Na  0.6667  0.3333  0.8352
Hg  0.0000  0.5000  0.0000
Hg  0.0000  0.5000  0.3320
Hg  0.0000  0.5000  0.6680
Hg  0.5000  0.0000  0.0000
Hg  0.5000  0.0000  0.3320
Hg  0.5000  0.0000  0.6680
Hg  0.5000  0.5000  0.0000
Hg  0.5000  0.5000  0.3320
Hg  0.5000  0.5000  0.6680

Principal peaks in the range 2θ from 15° to 90°, in order of rising 2θ:
| two_theta | Rel. int. |
| --- | --- |
| 15.69 | 31 |
| 16.97 | 77 |
| 23.18 | 50 |
| 31.68 | 87 |
| 32.35 | 38 |
| 34.32 | 29 |
| 36.15 | 100 |
| 47.39 | 57 |
| 56.42 | 21 |
| 59.36 | 19 |
| 62.65 | 22 |
| 67.73 | 25 |

=====

No. 3
For MnNiOs, a GGA-PBE-relaxed structure gives the simulated powder diffractogram in this record (a wavelength of 1.5418 Å).
Neutral-atom scattering factors, no anomalous dispersion.

Unit cell a=4.4475 b=4.4475 c=4.4475 alpha=145.82 beta=131.50 gamma=60.67
Sites, in units of the cell vectors:
Mn  0.0000  0.0000  0.0000
Ni  0.6682  0.6682  0.0000
Os  0.3360  0.3360  0.0000

Principal peaks in the range 2θ from 15° to 90°, in order of rising 2θ:
| two_theta | Rel. int. |
| --- | --- |
| 23.17 | 40 |
| 27.03 | 55 |
| 36.30 | 26 |
| 42.52 | 100 |
| 43.16 | 96 |
| 48.98 | 24 |
| 49.89 | 93 |
| 73.24 | 38 |
| 88.07 | 24 |
| 88.59 | 12 |
| 89.03 | 12 |
| 89.37 | 24 |